1.
For CaGdRh2, a cell relaxed with GGA-PBE gives the calculated powder diffractogram in this record (Cu Kα (weighted mean of Kα1 and Kα2)).

Cell and atoms:
```
CaGdRh2
1.0
3.4450 0.0000 0.0000
0.0000 3.4450 0.0000
0.0000 0.0000 6.9087
Ca Gd Rh
1 1 2
direct
0.0000 0.0000 0.0000 Ca
0.0000 0.0000 0.5000 Gd
0.5000 0.5000 0.2648 Rh
0.5000 0.5000 0.7352 Rh
```

Largest 10 diffraction maxima, by intensity, 2θ from 5° to 70°:
2θ/deg, I/Imax, h k l
36.86, 100, 1 1 0
66.45, 23, 2 1 2
12.81, 22, 0 0 1
53.17, 12, 2 0 0
66.34, 11, 1 1 4
28.96, 6, 1 0 1
39.21, 6, 1 1 1
47.49, 6, 1 0 3
53.02, 5, 0 0 4
54.92, 3, 2 0 1

=====

2.
For CaGdRh, a cell relaxed with GGA-PBE gives the calculated powder diffractogram in this record (Cu Kα (weighted mean of Kα1 and Kα2)).

Cell and atoms:
```
CaGdRh
1.0
3.4714 0.0000 0.0000
0.0000 3.4714 0.0000
0.0000 0.0000 13.2119
Ca Gd Rh
2 2 2
direct
0.0000 0.0000 0.0000 Ca
0.5000 0.5000 0.5000 Ca
0.0000 0.0000 0.2555 Gd
0.5000 0.5000 0.7555 Gd
0.0000 0.0000 0.6415 Rh
0.5000 0.5000 0.1415 Rh
```

Largest 10 diffraction maxima, by intensity, 2θ from 5° to 70°:
2θ/deg, I/Imax, h k l
32.85, 100, 1 0 3
13.40, 86, 0 0 2
36.61, 53, 1 1 0
43.02, 49, 1 0 5
63.54, 29, 2 1 3
39.15, 26, 1 1 2
52.74, 18, 2 0 0
26.55, 16, 1 0 1
68.47, 15, 1 1 8
54.68, 10, 2 0 2